Starting from the GGA-PBE geometry in Alexandria, the powder X-ray diffraction pattern of Rb6BiAu2 was computed for λ = 1.5418 Å (Cu Kα).
Lines closer than 0.1° are merged.

Atomic structure:
Unit cell a=19.592 b=11.267 c=8.070 alpha=90.00 beta=104.16 gamma=90.00
Space group C2/c (No. 15)
Inequivalent atoms, fractional coordinates:
Rb 0.096 0.062 0.145 [8 per cell]
Rb 0.096 0.438 0.148 [8 per cell]
Rb 0.194 0.250 0.729 [8 per cell]
Bi 0.000 0.250 0.750 [4 per cell]
Au 0.250 0.009 0.499 [8 per cell]

Principal peaks in the range 2θ = 10–80°, in order of rising 2θ:
d [Å]	2θ/deg	Rel. int.
4.845	18.31	59
3.603	24.71	48
3.396	26.24	31
3.341	26.68	64
3.274	27.24	50
3.213	27.76	79
3.016	29.62	33
2.951	30.29	100
2.874	31.12	34
2.819	31.74	63
2.760	32.44	89
1.900	47.88	32